For Li4B4Sb2SO16, the GGA-PBE geometry in the Materials Project gives the calculated PXRD pattern in this record (Cu Kα (λ = 1.5418 Å)).
Peak positions follow from Bragg's law for the DFT cell and can differ from measured ones.

Most intense lines, 15° ≤ 2θ ≤ 90°, in order of rising 2θ:
20.9°, 4.255 Å, I 84
21.7°, 4.090 Å, I 69
22.1°, 4.030 Å, I 71
22.5°, 3.946 Å, I 100
24.9°, 3.572 Å, I 27
26.4°, 3.382 Å, I 28
26.9°, 3.314 Å, I 30
32.7°, 2.736 Å, I 29

Structural model:
```
Li4B4Sb2SO16
1.0
0.0000 6.7640 7.1445
6.6276 0.0000 7.1445
6.6276 6.7640 0.0000
Li B Sb S O
8 8 4 2 32
Cartesian
4.9707 1.0121 5.3584
8.9255 5.0730 5.3584
8.2845 4.3941 8.9306
12.2393 8.4549 8.9306
1.0159 5.0730 5.3584
4.9707 9.1338 5.3584
4.3296 8.4549 8.9306
8.2845 12.5158 8.9306
6.2397 3.8248 6.5670
6.2397 6.3211 4.1498
3.7016 3.8248 4.1498
9.5535 7.2068 7.7221
3.7016 6.3211 6.5670
9.5535 9.7031 10.1392
7.0154 7.2068 10.1392
7.0154 9.7031 7.7221
6.6276 3.3820 3.5723
3.3138 6.7640 3.5723
3.3138 3.3820 7.1445
6.6276 6.7640 7.1445
1.6569 1.6910 1.7861
11.5983 11.8369 12.5029
2.5497 0.7947 2.5925
2.5497 2.5873 0.9797
0.7641 0.7947 0.9797
7.0886 3.7489 5.4882
4.7156 2.8917 3.9792
6.3741 5.3259 3.2020
5.2258 2.8917 6.7375
7.0886 6.3970 5.2286
3.5673 4.8200 3.2020
0.7641 2.5873 2.5925
8.5396 6.2737 7.5515
9.6879 8.2020 6.7742
10.4024 7.1309 8.8008
6.3741 4.8200 7.5148
5.2258 7.2542 3.9792
2.8528 3.7489 5.2286
10.4024 9.7790 9.0604
8.0294 6.2737 10.3098
6.8811 8.7078 6.7742
2.8528 6.3970 5.4882
3.5673 5.3259 7.5148
4.7156 7.2542 6.7375
12.4911 10.9406 11.6965
9.6879 8.7078 11.0871
6.1666 7.1309 9.0604
8.0294 10.6362 7.5515
6.8811 8.2020 11.0871
8.5396 10.6362 10.3098
6.1666 9.7790 8.8008
12.4911 12.7332 13.3093
10.7055 10.9406 13.3093
10.7055 12.7332 11.6965
```

=====

For Li6Sn2B4SO16, the GGA-PBE geometry in the Materials Project gives the calculated PXRD pattern in this record (Cu Kα (λ = 1.5418 Å)).
Peak positions follow from Bragg's law for the DFT cell and can differ from measured ones.

Most intense lines, 15° ≤ 2θ ≤ 90°, in order of rising 2θ:
21.8°, 4.079 Å, I 100
22.8°, 3.906 Å, I 39
26.3°, 3.382 Å, I 35
34.4°, 2.604 Å, I 31
37.6°, 2.392 Å, I 34
39.4°, 2.287 Å, I 33
44.4°, 2.040 Å, I 34
51.9°, 1.761 Å, I 21

Structural model:
```
Li6Sn2B4SO16
1.0
0.0000 6.7647 6.7647
6.7647 0.0000 6.7647
6.7647 6.7647 0.0000
Li Sn B S O
12 4 8 2 32
Cartesian
5.0735 5.0735 1.2393
5.0735 1.2393 5.0735
8.9078 5.0735 5.0735
8.4559 8.4559 4.6216
8.4559 4.6216 8.4559
12.2902 8.4559 8.4559
1.2393 5.0735 5.0735
5.0735 8.9078 5.0735
5.0735 5.0735 8.9078
4.6216 8.4559 8.4559
8.4559 12.2902 8.4559
8.4559 8.4559 12.2902
6.7647 3.3824 3.3824
3.3824 6.7647 3.3824
3.3824 3.3824 6.7647
6.7647 6.7647 6.7647
3.7629 3.7629 3.7629
6.3842 6.3842 3.7629
6.3842 3.7629 6.3842
9.7666 7.1452 7.1452
3.7629 6.3842 6.3842
7.1452 9.7666 7.1452
7.1452 7.1452 9.7666
9.7666 9.7666 9.7666
1.6912 1.6912 1.6912
11.8383 11.8383 11.8383
0.8258 0.8258 0.8258
2.5565 2.5565 0.8258
2.5565 0.8258 2.5565
4.7733 3.6998 2.8194
7.3277 5.3738 3.6998
6.4472 2.8194 5.3738
5.3738 6.4472 2.8194
3.6998 2.8194 4.7733
7.3277 4.7733 6.4472
0.8258 2.5565 2.5565
8.7561 7.0822 6.2017
10.7101 8.1557 7.0822
9.8296 6.2017 8.1557
2.8194 4.7733 3.6998
6.4472 7.3277 4.7733
5.3738 3.6998 7.3277
8.1557 9.8296 6.2017
7.0822 6.2017 8.7561
10.7101 8.7561 9.8296
3.6998 7.3277 5.3738
2.8194 5.3738 6.4472
4.7733 6.4472 7.3277
12.7036 10.9729 10.9729
6.2017 8.7561 7.0822
9.8296 10.7101 8.7561
8.1557 7.0822 10.7101
7.0822 10.7101 8.1557
6.2017 8.1557 9.8296
8.7561 9.8296 10.7101
10.9729 12.7036 10.9729
10.9729 10.9729 12.7036
12.7036 12.7036 12.7036
```

=====

For LiBSbO3, the GGA-PBE geometry in the Materials Project gives the calculated PXRD pattern in this record (Cu Kα (λ = 1.5418 Å)).
Peak positions follow from Bragg's law for the DFT cell and can differ from measured ones.

Most intense lines, 15° ≤ 2θ ≤ 90°, in order of rising 2θ:
17.5°, 5.077 Å, I 100
19.4°, 4.585 Å, I 45
19.6°, 4.528 Å, I 44
28.7°, 3.115 Å, I 64
31.5°, 2.839 Å, I 54
31.8°, 2.815 Å, I 16
32.0°, 2.800 Å, I 20
39.8°, 2.264 Å, I 22

Structural model:
```
LiBSbO3
1.0
5.1439 0.0000 0.0000
-2.5562 5.1278 0.0000
-0.8428 -0.8800 6.2300
Li B Sb O
2 2 2 6
Cartesian
-0.5120 1.9258 0.9564
2.2569 2.3220 5.2737
-0.2863 0.2962 4.7776
2.0312 3.9515 1.4524
2.1794 -0.1920 1.6301
-0.4345 4.4398 4.6000
-1.8834 3.3800 1.1667
-2.6958 4.0728 4.5272
0.9143 1.0070 4.8131
0.8305 3.2407 1.4169
4.4407 0.1749 1.7028
3.6283 0.8677 5.0633
```

=====

For Li2SiBSbO7, the GGA-PBE geometry in the Materials Project gives the calculated PXRD pattern in this record (Cu Kα (λ = 1.5418 Å)).
Peak positions follow from Bragg's law for the DFT cell and can differ from measured ones.

Most intense lines, 15° ≤ 2θ ≤ 90°, in order of rising 2θ:
16.9°, 5.251 Å, I 100
19.2°, 4.618 Å, I 38
20.2°, 4.387 Å, I 49
21.9°, 4.050 Å, I 47
25.4°, 3.504 Å, I 48
27.6°, 3.234 Å, I 54
34.5°, 2.600 Å, I 28
38.2°, 2.358 Å, I 23

Structural model:
```
Li2SiBSbO7
1.0
5.2032 0.0000 0.0000
0.0000 6.4677 0.0000
-0.5336 0.0000 8.9946
Li Si B Sb O
4 2 2 2 14
Cartesian
1.0673 0.1250 2.9120
1.0673 3.1088 2.9120
3.6023 3.3589 6.0826
3.6023 6.3426 6.0826
0.9237 1.6169 8.3653
3.7459 4.8508 0.6293
1.0839 4.8508 5.0054
3.5857 1.6169 3.9892
0.6620 4.8508 7.5149
4.0076 1.6169 1.4797
-0.1968 4.8508 5.6565
0.6810 1.6169 0.8205
0.5314 0.3488 7.4159
0.5314 2.8850 7.4159
1.3151 4.8508 3.7051
2.1308 4.8508 0.2601
2.0997 4.8508 6.0502
2.5699 1.6169 2.9444
2.5388 1.6169 8.7345
3.3545 1.6169 5.2894
4.1382 3.5827 1.5787
4.1382 6.1189 1.5787
3.9886 4.8508 8.1740
4.8664 1.6169 3.3381
```

=====

For Li3SiSnBO7, the GGA-PBE geometry in the Materials Project gives the calculated PXRD pattern in this record (Cu Kα (λ = 1.5418 Å)).
Peak positions follow from Bragg's law for the DFT cell and can differ from measured ones.

Most intense lines, 15° ≤ 2θ ≤ 90°, in order of rising 2θ:
17.0°, 5.202 Å, I 100
19.4°, 4.580 Å, I 49
21.1°, 4.211 Å, I 67
22.0°, 4.038 Å, I 54
25.9°, 3.434 Å, I 47
27.1°, 3.287 Å, I 87
35.7°, 2.516 Å, I 26
40.2°, 2.243 Å, I 34

Structural model:
```
Li3SiSnBO7
1.0
5.1388 0.0000 0.0000
0.0000 6.5749 0.0000
-0.8095 0.0000 8.5064
Li Si Sn B O
6 2 2 2 14
Cartesian
1.0797 0.0544 2.0151
1.0797 3.2331 2.0151
0.5473 4.9312 7.7148
3.7820 1.6437 0.7916
3.2496 3.3418 6.4913
3.2496 6.5205 6.4913
0.7187 4.9312 4.9358
3.6106 1.6437 3.5706
0.9488 1.6437 5.7220
3.3806 4.9312 2.7844
0.3046 1.6437 8.2095
4.0247 4.9312 0.2969
-0.6026 1.6437 7.1085
0.1030 1.6437 3.8565
0.6357 1.6437 0.9700
1.1474 3.6838 5.9139
1.1474 6.1786 5.9139
1.4409 4.9312 3.4640
1.6513 1.6437 7.8144
2.6780 4.9312 0.6920
2.8884 1.6437 5.0424
3.1820 0.3963 2.5925
3.1820 2.8911 2.5925
3.6936 4.9312 7.5364
4.2263 4.9312 4.6499
4.9319 4.9312 1.3979
```